1.
The following is a simulated powder XRD pattern of Sr3AcP3. It was derived from a PBE-relaxed structure, using Cu Kα (λ = 1.5418 Å).
Kinematic intensities with the Lorentz-polarization factor, no thermal factor.

Main lines, sorted by position (2θ = 10–90°):
Position (°2θ)  I (rel.)  h k l
16.43  169  1 1 1
23.31  319  2 1 1
26.98  334  2 2 0
30.24  1000  3 1 0
35.95  649  3 2 1
47.67  211  4 2 2
49.74  498  4 1 3
61.12  195  6 1 1
64.63  175  5 4 1
74.62  142  7 2 1

Structural model:
```
28
Lattice="9.3461 0.0000 0.0000 0.0000 9.3461 0.0000 0.0000 0.0000 9.3461" Properties=species:S:1:pos:R:3 pbc="T T T"
Sr 0.5623 4.1107 5.2353
Sr 1.7118 1.7118 1.7118
Sr 1.7472 7.5989 2.9259
Sr 2.9259 1.7472 7.5989
Sr 2.9612 7.6343 6.3849
Sr 4.1107 5.2353 0.5623
Sr 5.2353 0.5623 4.1107
Sr 6.3849 2.9612 7.6343
Sr 6.4202 6.4202 6.4202
Sr 7.5989 2.9259 1.7472
Sr 7.6343 6.3849 2.9612
Sr 8.7838 8.7838 8.7838
Ac 0.5947 5.2678 8.7514
Ac 4.0783 4.0783 4.0783
Ac 5.2678 8.7514 0.5947
Ac 8.7514 0.5947 5.2678
P 9.3457 2.3739 8.1444
P 0.0003 7.0469 5.8748
P 1.2017 4.6727 2.2992
P 2.2992 1.2017 4.6727
P 2.3739 8.1444 9.3457
P 3.4713 4.6734 6.9722
P 4.6727 2.2992 1.2017
P 4.6734 6.9722 3.4713
P 5.8748 0.0003 7.0469
P 6.9722 3.4713 4.6734
P 7.0469 5.8748 0.0003
P 8.1444 9.3457 2.3739
```


2.
The following is a simulated powder XRD pattern of K2Cd4Bi3Au. It was derived from a PBE-relaxed structure, using Cu Kα (λ = 1.5418 Å).
Kinematic intensities with the Lorentz-polarization factor, no thermal factor.

Main lines, sorted by position (2θ = 10–90°):
Position (°2θ)  I (rel.)  h k l
14.90  504  0 0 2
18.60  655  1 0 1
28.29  408  1 0 3
28.50  927  1 1 2
34.43  936  2 0 0
38.93  1000  1 1 4
45.14  224  2 1 3
49.49  334  2 2 0
58.11  247  3 1 2
64.69  454  3 1 4

Structural model:
```
10
Lattice="5.2090 0.0000 0.0000 0.0000 5.2090 0.0000 0.0000 0.0000 11.8942" Properties=species:S:1:pos:R:3 pbc="T T T"
K 0.0000 2.6045 2.8357
K 2.6045 0.0000 9.0585
Cd 0.0000 0.0000 5.9471
Cd 0.0000 2.6045 10.5405
Cd 2.6045 0.0000 1.3536
Cd 2.6045 2.6045 5.9471
Bi 0.0000 0.0000 0.0000
Bi 0.0000 2.6045 7.5806
Bi 2.6045 0.0000 4.3135
Au 2.6045 2.6045 0.0000
```